Entry 1:
Diffraction record for PrNd3Bi4. The powder diffractogram is calculated, not measured: it uses a crystal structure in Alexandria, relaxed with GGA-PBE and a wavelength of 1.5418 Å.
Neutral-atom scattering factors, no anomalous dispersion.

Principal peaks in the range 5 to 70 degrees two-theta, low angle first:
2θ 23.6, I = 6, (1 1 1); 2θ 27.3, I = 100, (2 0 0); 2θ 39.0, I = 79, (2 2 0); 2θ 46.1, I = 3, (3 1 1); 2θ 48.3, I = 29, (2 2 2); 2θ 56.4, I = 14, (4 0 0); 2θ 62.0, I = 2, (3 3 1); 2θ 63.8, I = 38, (4 2 0)

Atomic structure:
```
PrNd3Bi4
1.0
6.526 0.000 0.000
0.000 6.526 0.000
0.000 0.000 6.526
Pr Nd Bi
1 3 4
Direct
0.000 0.000 0.000 Pr
0.000 0.500 0.500 Nd
0.500 0.000 0.500 Nd
0.500 0.500 0.000 Nd
0.000 0.000 0.500 Bi
0.000 0.500 0.000 Bi
0.500 0.000 0.000 Bi
0.500 0.500 0.500 Bi
```

***

Entry 2:
Diffraction record for La2Tb2HoTm. The powder diffractogram is calculated, not measured: it uses a crystal structure in Alexandria, relaxed with GGA-PBE and a wavelength of 1.5418 Å.
Neutral-atom scattering factors, no anomalous dispersion.

Principal peaks in the range 5 to 70 degrees two-theta, low angle first:
2θ 25.2, I = 7, (0 0 2); 2θ 31.1, I = 91, (1 1 2); 2θ 31.4, I = 100, (2 0 0); 2θ 40.7, I = 11, (2 0 2); 2θ 44.8, I = 33, (2 2 2); 2θ 51.7, I = 8, (0 0 4); 2θ 55.8, I = 35, (3 1 2); 2θ 56.0, I = 19, (3 3 0); 2θ 61.8, I = 29, (2 0 4); 2θ 65.6, I = 12, (4 0 0)

Atomic structure:
```
La2Tb2HoTm
1.0
5.690 0.000 0.000
0.000 9.864 0.000
0.000 0.000 7.066
La Tb Ho Tm
4 4 2 2
Direct
0.000 0.001 0.000 La
0.000 0.999 0.500 La
0.500 0.179 0.250 La
0.500 0.821 0.750 La
0.000 0.334 0.250 Tb
0.000 0.666 0.750 Tb
0.500 0.167 0.750 Tb
0.500 0.833 0.250 Tb
0.000 0.343 0.750 Ho
0.000 0.657 0.250 Ho
0.500 0.500 0.000 Tm
0.500 0.500 0.500 Tm
```

***

Entry 3:
Diffraction record for LiBr3. The powder diffractogram is calculated, not measured: it uses a crystal structure in Alexandria, relaxed with GGA-PBE and a wavelength of 1.5418 Å.
Neutral-atom scattering factors, no anomalous dispersion.

Principal peaks in the range 5 to 70 degrees two-theta, low angle first:
2θ 15.3, I = 11, (0 0 1); 2θ 22.0, I = 100, (0 1 1); 2θ 30.9, I = 21, (0 0 2); 2θ 31.6, I = 20, (0 2 0); 2θ 38.6, I = 22, (2 0 1); 2θ 38.7, I = 22, (2 1 0); 2θ 44.8, I = 14, (0 2 2); 2θ 50.0, I = 10, (0 1 3); 2θ 50.3, I = 20, (2 1 2); 2θ 50.7, I = 21, (2 2 1)

Atomic structure:
```
LiBr3
1.0
5.102 0.000 0.000
0.000 5.671 0.000
0.000 0.000 5.783
Li Br
1 3
Direct
0.000 0.000 0.000 Li
0.250 0.500 0.500 Br
0.500 0.000 0.000 Br
0.750 0.500 0.500 Br
```